Calculated X-ray diffraction stick pattern of Ti4Ga2Cu3 for Cu Kα, 1.54184 Å, from a cell relaxed with PBE.

Cell and atoms:
Cell lengths 4.8640, 4.8640, 8.0148 Å; angles 111.04, 111.04, 49.63 degrees
Sites, in units of the cell vectors:
1 Ti 0.0285 0.0285 0.3409
2 Ti 0.3420 0.3420 0.1128
3 Ti 0.6580 0.6580 0.8872
4 Ti 0.9715 0.9715 0.6591
5 Ga 0.3077 0.3077 0.7546
6 Ga 0.6923 0.6923 0.2454
7 Cu 0.0000 0.0000 0.0000
8 Cu 0.3492 0.3492 0.4466
9 Cu 0.6508 0.6508 0.5534

Principal peaks in the range 5 to 70 degrees two-theta, most intense first:
2.228 Å, 40.50°, intensity 100
2.254 Å, 40.00°, intensity 92
2.041 Å, 44.38°, intensity 39
1.999 Å, 45.38°, intensity 33
1.807 Å, 50.52°, intensity 21
1.428 Å, 65.35°, intensity 20
1.353 Å, 69.50°, intensity 20
3.058 Å, 29.20°, intensity 6
1.980 Å, 45.82°, intensity 6
2.387 Å, 37.69°, intensity 5
7.361 Å, 12.02°, intensity 4
2.309 Å, 39.01°, intensity 3